Diffraction record for BaCa3. The X-ray diffraction stick pattern is calculated, not measured: it uses the GGA-PBE geometry in the Materials Project and copper Kα.

Structural model:
Unit cell a=8.0895 b=8.0895 c=6.6457 alpha=90.00 beta=90.00 gamma=120.00
Space group P6_3/mmc (No. 194)
Inequivalent atoms, fractional coordinates:
Ba: 0.3333 0.6667 0.2500
Ca: 0.1638 0.3277 0.7500

The 12 most intense peaks (10 to 90 degrees two-theta), sorted by position:
(hkl)	2theta	I (rel.)
1 0 1	18.40	35
1 1 0	21.98	15
2 0 0	25.43	23
0 0 2	26.83	27
2 0 1	28.81	100
2 1 1	36.53	12
2 0 2	37.30	16
2 2 0	44.82	19
2 0 3	48.63	22
2 2 2	53.01	22
4 0 1	54.16	16
4 2 1	72.84	12